1.
V2GeSe4: calculated PXRD pattern (a wavelength of 1.5418 Å), based on a crystal structure in Alexandria, relaxed with PBE.

Crystal structure
Lattice parameters (Å, degrees): 10.853 10.853 10.853 90.00 90.00 90.00
Space group Fd-3m (No. 227, origin choice 2)
One atom of each set of equivalent atoms:
V: 0.000 0.000 0.000 x16
Ge: 0.125 0.125 0.625 x8
Se: 0.013 0.013 0.237 x32

Largest 10 diffraction maxima, in order of rising 2θ, 10 to 90 degrees two-theta:
23.18°, rel. 24; 27.25°, rel. 36; 28.49°, rel. 55; 33.01°, rel. 72; 43.32°, rel. 46; 47.39°, rel. 100; 56.22°, rel. 18; 58.96°, rel. 14; 78.89°, rel. 13; 88.21°, rel. 25



2.
Na3SeF6: calculated PXRD pattern (a wavelength of 1.5418 Å), based on a crystal structure in Alexandria, relaxed with PBE.

Crystal structure
Lattice parameters (Å, degrees): 7.413 8.101 10.629 90.00 90.00 90.00
Space group Fmmm (No. 69)
One atom of each set of equivalent atoms:
Na: 0.000 0.000 0.000 x4
Na: 0.250 0.250 0.250 x8
Se: 0.000 0.000 0.500 x4
F: 0.000 0.237 0.500 x8
F: 0.242 0.000 0.374 x16

Largest 10 diffraction maxima, in order of rising 2θ, 10 to 90 degrees two-theta:
16.68°, rel. 49; 18.24°, rel. 65; 21.94°, rel. 26; 27.69°, rel. 39; 29.38°, rel. 100; 41.83°, rel. 28; 44.75°, rel. 28; 47.73°, rel. 48; 49.17°, rel. 20; 54.44°, rel. 34



3.
Pr6Dy16Tm7: calculated PXRD pattern (a wavelength of 1.5418 Å), based on a crystal structure in Alexandria, relaxed with PBE.

Crystal structure
Lattice parameters (Å, degrees): 15.777 15.777 15.777 90.00 90.00 90.00
Space group Fm-3m (No. 225)
One atom of each set of equivalent atoms:
Pr: 0.000 0.000 0.215 x24
Dy: 0.123 0.123 0.377 x32
Dy: 0.155 0.155 0.155 x32
Tm: 0.000 0.000 0.500 x4
Tm: 0.000 0.250 0.250 x24

Largest 10 diffraction maxima, in order of rising 2θ, 10 to 90 degrees two-theta:
27.70°, rel. 8; 29.42°, rel. 23; 32.09°, rel. 100; 33.61°, rel. 9; 44.09°, rel. 10; 46.02°, rel. 12; 57.21°, rel. 21; 58.18°, rel. 8; 60.72°, rel. 9; 81.65°, rel. 8



4.
NiS5Cl: calculated PXRD pattern (a wavelength of 1.5418 Å), based on a crystal structure in Alexandria, relaxed with PBE.

Crystal structure
Lattice parameters (Å, degrees): 4.273 5.049 9.775 78.46 89.63 77.96
Space group P1 (No. 1)
One atom of each set of equivalent atoms:
Ni: 0.000 0.000 0.000 x1
S: 0.087 0.696 0.867 x1
S: 0.186 0.465 0.382 x1
S: 0.516 0.466 0.534 x1
S: 0.814 0.429 0.922 x1
S: 0.915 0.201 0.485 x1
Cl: 0.488 0.969 0.088 x1

Largest 10 diffraction maxima, in order of rising 2θ, 10 to 90 degrees two-theta:
18.54°, rel. 100; 18.81°, rel. 27; 21.27°, rel. 14; 22.22°, rel. 50; 22.92°, rel. 13; 23.35°, rel. 36; 28.87°, rel. 29; 33.12°, rel. 15; 43.39°, rel. 14; 52.76°, rel. 15



5.
LaPr2Ni6: calculated PXRD pattern (a wavelength of 1.5418 Å), based on a crystal structure in Alexandria, relaxed with PBE.

Crystal structure
Lattice parameters (Å, degrees): 7.0174 7.0174 4.0320 90.00 90.00 120.00
Space group P6/mmm (No. 191)
One atom of each set of equivalent atoms:
La: 0.0000 0.0000 0.0000 x1
Pr: 0.3333 0.6667 0.0000 x2
Ni: 0.0000 0.3338 0.5000 x6

Largest 10 diffraction maxima, in order of rising 2θ, 10 to 90 degrees two-theta:
25.38°, rel. 14; 33.87°, rel. 100; 44.74°, rel. 39; 44.96°, rel. 13; 52.34°, rel. 4; 57.27°, rel. 21; 65.30°, rel. 24; 75.46°, rel. 19; 75.79°, rel. 9; 82.47°, rel. 6



6.
PmNdHo2P4: calculated PXRD pattern (a wavelength of 1.5418 Å), based on a crystal structure in Alexandria, relaxed with PBE.

Crystal structure
Lattice parameters (Å, degrees): 7.044 4.071 7.048 90.00 109.47 90.00
Space group P2/m (No. 10)
One atom of each set of equivalent atoms:
Pm: 0.000 0.000 0.000 x1
Nd: 0.000 0.500 0.500 x1
Ho: 0.500 0.000 0.500 x1
Ho: 0.500 0.500 0.000 x1
P: 0.259 0.500 0.252 x2
P: 0.260 0.000 0.754 x2

Largest 10 diffraction maxima, in order of rising 2θ, 10 to 90 degrees two-theta:
26.83°, rel. 85; 31.08°, rel. 100; 44.53°, rel. 73; 52.76°, rel. 42; 55.30°, rel. 26; 64.80°, rel. 12; 71.46°, rel. 17; 73.61°, rel. 33; 82.03°, rel. 25; 88.23°, rel. 12